Structure and theoretical X-ray diffraction stick pattern of BaCa2I6 (the PBE geometry in the Materials Project; Cu Ka).

```
BaCa2I6
1.0
8.038 0.000 0.000
-4.019 6.961 0.000
0.000 0.000 7.641
Ba Ca I
1 2 6
Direct
0.000 0.000 0.000
0.333 0.667 0.500
0.667 0.333 0.500
0.000 0.353 0.267
0.000 0.647 0.733
0.353 0.000 0.267
0.353 0.353 0.733
0.647 0.000 0.733
0.647 0.647 0.267
```

Largest 10 diffraction maxima, by intensity, 10° ≤ 2θ ≤ 90°:
d 3.557, 2θ = 25.04°, rel. 100
d 2.769, 2θ = 32.33°, rel. 44
d 2.320, 2θ = 38.81°, rel. 33
d 2.151, 2θ = 42.00°, rel. 22
d 5.146, 2θ = 17.23°, rel. 19
d 1.943, 2θ = 46.74°, rel. 17
d 1.475, 2θ = 63.04°, rel. 13
d 3.820, 2θ = 23.28°, rel. 13
d 1.490, 2θ = 62.32°, rel. 12
d 1.983, 2θ = 45.75°, rel. 11


Structure and theoretical X-ray diffraction stick pattern of Ge3Mo5 (the PBE geometry in the Materials Project; Cu Ka).

```
Ge3Mo5
1.0
6.478 -3.738 0.000
6.478 3.738 0.000
0.000 0.000 5.129
Ge Mo
6 10
Direct
0.106 0.894 0.750
0.108 0.500 0.250
0.500 0.108 0.750
0.500 0.892 0.250
0.892 0.500 0.750
0.894 0.106 0.250
0.167 0.167 0.000
0.167 0.167 0.500
0.266 0.501 0.750
0.267 0.733 0.250
0.499 0.734 0.750
0.501 0.266 0.250
0.733 0.267 0.750
0.734 0.499 0.250
0.833 0.833 0.000
0.833 0.833 0.500
```

Largest 10 diffraction maxima, by intensity, 10° ≤ 2θ ≤ 90°:
d 2.209, 2θ = 40.85°, rel. 100
d 2.115, 2θ = 42.76°, rel. 65
d 2.448, 2θ = 36.71°, rel. 36
d 2.159, 2θ = 41.85°, rel. 35
d 1.402, 2θ = 66.73°, rel. 22
d 2.384, 2θ = 37.73°, rel. 20
d 1.156, 2θ = 83.64°, rel. 18
d 1.511, 2θ = 61.37°, rel. 17
d 2.565, 2θ = 34.99°, rel. 15
d 1.369, 2θ = 68.54°, rel. 11


Structure and theoretical X-ray diffraction stick pattern of PrEr3S6 (the PBE geometry in the Materials Project; Cu Ka).

```
PrEr3S6
1.0
11.057 0.000 0.000
0.000 3.979 0.000
-3.626 0.000 10.704
Pr Er S
2 6 12
Direct
0.049 0.250 0.195
0.951 0.750 0.805
0.162 0.250 0.587
0.320 0.750 0.998
0.439 0.250 0.333
0.561 0.750 0.667
0.680 0.250 0.002
0.838 0.750 0.413
0.082 0.750 0.407
0.120 0.250 0.964
0.197 0.750 0.748
0.265 0.750 0.228
0.396 0.250 0.561
0.477 0.250 0.112
0.523 0.750 0.888
0.604 0.750 0.439
0.735 0.250 0.772
0.803 0.250 0.252
0.880 0.750 0.036
0.918 0.250 0.593
```

Largest 10 diffraction maxima, by intensity, 10° ≤ 2θ ≤ 90°:
d 3.685, 2θ = 24.15°, rel. 100
d 3.766, 2θ = 23.62°, rel. 79
d 2.138, 2θ = 42.27°, rel. 74
d 2.889, 2θ = 30.95°, rel. 70
d 3.396, 2θ = 26.24°, rel. 66
d 2.624, 2θ = 34.17°, rel. 52
d 1.989, 2θ = 45.60°, rel. 50
d 3.232, 2θ = 27.60°, rel. 49
d 3.257, 2θ = 27.39°, rel. 45
d 2.064, 2θ = 43.87°, rel. 40


Structure and theoretical X-ray diffraction stick pattern of Nb6Pd2Se15 (the PBE geometry in the Materials Project; Cu Ka).

```
Nb6Pd2Se15
1.0
8.377 0.000 0.000
2.061 8.122 0.000
1.576 3.360 15.359
Nb Pd Se
12 4 30
Direct
0.015 0.457 0.180
0.141 0.431 0.622
0.194 0.234 0.380
0.318 0.211 0.818
0.351 0.122 0.180
0.471 0.100 0.622
0.529 0.900 0.378
0.649 0.878 0.820
0.682 0.789 0.182
0.806 0.766 0.620
0.859 0.569 0.378
0.985 0.543 0.820
0.000 0.000 0.500
0.167 0.333 0.000
0.500 0.000 0.000
0.833 0.667 0.000
0.023 0.686 0.490
0.028 0.227 0.901
0.050 0.173 0.132
0.105 0.710 0.677
0.152 0.554 0.297
0.180 0.112 0.704
0.231 0.954 0.323
0.285 0.494 0.868
0.306 0.439 0.100
0.316 0.975 0.510
0.352 0.355 0.491
0.360 0.894 0.901
0.382 0.839 0.132
0.438 0.380 0.676
0.487 0.220 0.297
0.513 0.780 0.703
0.562 0.620 0.324
0.618 0.161 0.868
0.640 0.106 0.099
0.648 0.645 0.509
0.684 0.025 0.490
0.694 0.561 0.900
0.715 0.506 0.132
0.769 0.046 0.677
0.820 0.888 0.296
0.848 0.446 0.703
0.895 0.290 0.323
0.950 0.827 0.868
0.972 0.773 0.099
0.977 0.314 0.510
```

Largest 10 diffraction maxima, by intensity, 10° ≤ 2θ ≤ 90°:
d 6.465, 2θ = 13.70°, rel. 100
d 2.349, 2θ = 38.32°, rel. 66
d 2.436, 2θ = 36.90°, rel. 53
d 2.573, 2θ = 34.87°, rel. 38
d 2.506, 2θ = 35.84°, rel. 34
d 2.854, 2θ = 31.35°, rel. 29
d 2.002, 2θ = 45.29°, rel. 28
d 1.715, 2θ = 53.43°, rel. 24
d 2.024, 2θ = 44.77°, rel. 23
d 3.205, 2θ = 27.84°, rel. 20


Structure and theoretical X-ray diffraction stick pattern of Hg3Bi (the PBE geometry in the Materials Project; Cu Ka).

```
Hg3Bi
1.0
6.742 0.000 0.000
-3.371 5.839 0.000
0.000 0.000 5.519
Hg Bi
6 2
Direct
0.165 0.331 0.250
0.165 0.835 0.250
0.331 0.165 0.750
0.669 0.835 0.250
0.835 0.165 0.750
0.835 0.669 0.750
0.333 0.667 0.750
0.667 0.333 0.250
```

Largest 10 diffraction maxima, by intensity, 10° ≤ 2θ ≤ 90°:
d 2.581, 2θ = 34.76°, rel. 100
d 2.759, 2θ = 32.45°, rel. 27
d 2.919, 2θ = 30.62°, rel. 23
d 1.438, 2θ = 64.82°, rel. 23
d 1.556, 2θ = 59.38°, rel. 22
d 1.686, 2θ = 54.44°, rel. 19
d 2.005, 2θ = 45.22°, rel. 16
d 1.411, 2θ = 66.23°, rel. 16
d 1.143, 2θ = 84.78°, rel. 9
d 1.290, 2θ = 73.38°, rel. 4


Structure and theoretical X-ray diffraction stick pattern of ICl (the PBE geometry in the Materials Project; Cu Ka).

```
ICl
1.0
9.344 0.000 0.000
0.000 8.485 0.000
-0.665 0.000 8.880
I Cl
8 8
Direct
0.014 0.118 0.246
0.014 0.382 0.746
0.300 0.024 0.368
0.300 0.476 0.868
0.700 0.524 0.132
0.700 0.976 0.632
0.986 0.618 0.254
0.986 0.882 0.754
0.235 0.705 0.365
0.235 0.795 0.865
0.387 0.208 0.891
0.387 0.292 0.391
0.613 0.708 0.609
0.613 0.792 0.109
0.765 0.205 0.135
0.765 0.295 0.635
```

Largest 10 diffraction maxima, by intensity, 10° ≤ 2θ ≤ 90°:
d 4.130, 2θ = 21.52°, rel. 100
d 3.104, 2θ = 28.76°, rel. 50
d 3.828, 2θ = 23.23°, rel. 42
d 5.250, 2θ = 16.89°, rel. 41
d 3.582, 2θ = 24.86°, rel. 35
d 6.135, 2θ = 14.44°, rel. 23
d 4.440, 2θ = 20.00°, rel. 22
d 2.066, 2θ = 43.81°, rel. 21
d 3.622, 2θ = 24.58°, rel. 14
d 2.375, 2θ = 37.88°, rel. 14


Structure and theoretical X-ray diffraction stick pattern of KNbB2O6 (the PBE geometry in the Materials Project; Cu Ka).

```
KNbB2O6
1.0
7.560 0.000 0.000
0.000 3.987 0.000
0.000 0.000 9.899
K Nb B O
2 2 4 12
Direct
0.000 0.073 0.000
0.500 0.927 0.500
0.000 0.388 0.606
0.500 0.612 0.106
0.165 0.509 0.319
0.335 0.491 0.819
0.665 0.491 0.819
0.835 0.509 0.319
0.000 0.528 0.253
0.000 0.931 0.606
0.182 0.443 0.453
0.189 0.434 0.743
0.311 0.566 0.243
0.318 0.557 0.953
0.500 0.069 0.106
0.500 0.472 0.753
0.682 0.557 0.953
0.689 0.566 0.243
0.811 0.434 0.743
0.818 0.443 0.453
```

Largest 10 diffraction maxima, by intensity, 10° ≤ 2θ ≤ 90°:
d 6.008, 2θ = 14.74°, rel. 100
d 3.322, 2θ = 26.83°, rel. 68
d 3.004, 2θ = 29.74°, rel. 49
d 3.024, 2θ = 29.54°, rel. 46
d 3.987, 2θ = 22.29°, rel. 40
d 4.949, 2θ = 17.92°, rel. 31
d 3.780, 2θ = 23.54°, rel. 30
d 2.003, 2θ = 45.28°, rel. 26
d 1.955, 2θ = 46.45°, rel. 25
d 3.527, 2θ = 25.25°, rel. 24


Structure and theoretical X-ray diffraction stick pattern of K5LiGe2O7 (the PBE geometry in the Materials Project; Cu Ka).

```
K5LiGe2O7
1.0
6.326 0.000 0.000
0.000 16.103 0.000
-3.598 0.000 10.119
K Li Ge O
20 4 8 28
Direct
0.200 0.165 0.414
0.200 0.335 0.914
0.240 0.557 0.420
0.240 0.943 0.920
0.253 0.568 0.083
0.253 0.932 0.583
0.271 0.132 0.766
0.271 0.368 0.266
0.281 0.154 0.110
0.281 0.346 0.610
0.719 0.654 0.390
0.719 0.846 0.890
0.729 0.632 0.734
0.729 0.868 0.234
0.747 0.068 0.417
0.747 0.432 0.917
0.760 0.057 0.080
0.760 0.443 0.580
0.800 0.665 0.086
0.800 0.835 0.586
0.204 0.720 0.604
0.204 0.780 0.104
0.796 0.220 0.896
0.796 0.280 0.396
0.235 0.554 0.745
0.235 0.946 0.245
0.270 0.735 0.887
0.270 0.765 0.387
0.730 0.235 0.613
0.730 0.265 0.113
0.765 0.054 0.755
0.765 0.446 0.255
0.023 0.718 0.928
0.023 0.782 0.428
0.050 0.611 0.611
0.050 0.889 0.111
0.091 0.009 0.325
0.091 0.491 0.825
0.234 0.702 0.248
0.234 0.798 0.748
0.399 0.634 0.868
0.399 0.866 0.368
0.438 0.000 0.195
0.438 0.500 0.695
0.467 0.719 0.530
0.467 0.781 0.030
0.533 0.219 0.970
0.533 0.281 0.470
0.562 0.000 0.805
0.562 0.500 0.305
0.601 0.134 0.632
0.601 0.366 0.132
0.766 0.202 0.252
0.766 0.298 0.752
0.909 0.509 0.175
0.909 0.991 0.675
0.950 0.111 0.889
0.950 0.389 0.389
0.977 0.218 0.572
0.977 0.282 0.072
```

Largest 10 diffraction maxima, by intensity, 10° ≤ 2θ ≤ 90°:
d 2.833, 2θ = 31.58°, rel. 100
d 2.980, 2θ = 29.99°, rel. 47
d 2.588, 2θ = 34.66°, rel. 43
d 2.331, 2θ = 38.63°, rel. 41
d 2.918, 2θ = 30.64°, rel. 33
d 3.111, 2θ = 28.70°, rel. 31
d 5.589, 2θ = 15.86°, rel. 27
d 4.284, 2θ = 20.74°, rel. 20
d 1.691, 2θ = 54.25°, rel. 18
d 4.827, 2θ = 18.38°, rel. 18


Structure and theoretical X-ray diffraction stick pattern of BaSrI4 (the PBE geometry in the Materials Project; Cu Ka).

```
BaSrI4
1.0
10.377 0.000 0.000
0.000 12.424 0.000
-5.502 0.000 9.383
Ba Sr I
4 4 16
Direct
0.019 0.057 0.264
0.019 0.443 0.764
0.981 0.557 0.236
0.981 0.943 0.736
0.459 0.682 0.344
0.459 0.818 0.844
0.541 0.182 0.156
0.541 0.318 0.656
0.106 0.696 0.690
0.106 0.804 0.190
0.236 0.502 0.116
0.236 0.998 0.616
0.335 0.547 0.537
0.335 0.953 0.037
0.356 0.190 0.342
0.356 0.310 0.842
0.644 0.690 0.158
0.644 0.810 0.658
0.665 0.047 0.963
0.665 0.453 0.463
0.764 0.002 0.384
0.764 0.498 0.884
0.894 0.196 0.810
0.894 0.304 0.310
```

Largest 10 diffraction maxima, by intensity, 10° ≤ 2θ ≤ 90°:
d 3.699, 2θ = 24.06°, rel. 100
d 3.043, 2θ = 29.35°, rel. 91
d 2.943, 2θ = 30.37°, rel. 74
d 3.777, 2θ = 23.55°, rel. 69
d 2.677, 2θ = 33.48°, rel. 58
d 3.403, 2θ = 26.19°, rel. 57
d 2.492, 2θ = 36.04°, rel. 51
d 3.261, 2θ = 27.35°, rel. 49
d 3.297, 2θ = 27.05°, rel. 44
d 2.981, 2θ = 29.98°, rel. 41


Structure and theoretical X-ray diffraction stick pattern of Eu4PdO7 (the PBE geometry in the Materials Project; Cu Ka).

```
Eu4PdO7
1.0
6.897 0.000 0.000
0.772 7.170 0.000
2.442 2.414 7.197
Eu Pd O
8 2 14
Direct
0.143 0.352 0.360
0.161 0.331 0.880
0.284 0.883 0.709
0.293 0.895 0.222
0.707 0.105 0.778
0.716 0.117 0.291
0.839 0.669 0.120
0.857 0.648 0.640
0.500 0.500 0.000
0.500 0.500 0.500
0.026 0.256 0.677
0.067 0.167 0.196
0.206 0.579 0.012
0.233 0.635 0.583
0.345 0.039 0.899
0.356 0.082 0.399
0.449 0.567 0.244
0.551 0.433 0.756
0.644 0.918 0.601
0.655 0.961 0.101
0.767 0.365 0.417
0.794 0.421 0.988
0.933 0.833 0.804
0.974 0.744 0.323
```

Largest 10 diffraction maxima, by intensity, 10° ≤ 2θ ≤ 90°:
d 3.013, 2θ = 29.65°, rel. 100
d 2.875, 2θ = 31.10°, rel. 64
d 2.830, 2θ = 31.61°, rel. 41
d 2.962, 2θ = 30.17°, rel. 35
d 1.990, 2θ = 45.59°, rel. 20
d 2.080, 2θ = 43.51°, rel. 19
d 1.684, 2θ = 54.48°, rel. 17
d 2.146, 2θ = 42.12°, rel. 12
d 1.722, 2θ = 53.18°, rel. 11
d 1.696, 2θ = 54.07°, rel. 10